For BaRu2N2, DFT lattice parameters and positions (PBE) gives the simulated X-ray diffraction stick pattern in this record (a wavelength of 1.5418 Å).

Structural model:
```
BaRu2N2
1.0
-3.2727 3.2727 4.8411
3.2727 -3.2727 4.8411
3.2727 3.2727 -4.8411
Ba Ru N
2 4 4
direct
0.2500 0.2500 0.0000
0.7500 0.7500 0.0000
0.1388 0.6388 0.7775
0.3612 0.1388 0.5000
0.6388 0.8612 0.5000
0.8612 0.3612 0.2225
0.1561 0.3439 0.5000
0.3439 0.8439 0.1877
0.6561 0.1561 0.8123
0.8439 0.6561 0.5000
```

Most intense lines, 2θ = 15–90°, sorted by position:
2theta, I (rel.)
18.33, 14
26.65, 100
31.94, 44
33.04, 35
37.14, 27
41.65, 22
43.73, 34
57.03, 9
58.69, 28
59.64, 23
60.79, 9
63.26, 16